Theoretical X-ray powder pattern of Tm4Sc2In for Cu Kα X-rays, from a crystal structure in Alexandria, relaxed with GGA-PBE.
Peak positions follow from Bragg's law for the DFT cell and can differ from measured ones.

Structural model:
Unit cell a=5.2961 b=6.6036 c=11.4246 alpha=90.00 beta=103.41 gamma=90.00
Sites, in units of the cell vectors:
Tm: 0.0687 0.2500 0.1384
Tm: 0.2128 0.7500 0.4265
Tm: 0.3543 0.5066 0.7080
Tm: 0.3543 0.9934 0.7080
Tm: 0.6457 0.0066 0.2920
Tm: 0.6457 0.4934 0.2920
Tm: 0.7872 0.2500 0.5735
Tm: 0.9313 0.7500 0.8616
Sc: 0.2152 0.2500 0.4300
Sc: 0.4870 0.2500 0.9752
Sc: 0.5130 0.7500 0.0248
Sc: 0.7848 0.7500 0.5700
In: 0.0766 0.7500 0.1523
In: 0.9234 0.2500 0.8477

Top 12 peaks for 2θ from 5° to 70°, in order of falling intensity:
- 2θ = 32.9°, d = 2.723 Å, I = 100, (1 0 3)
- 2θ = 32.2°, d = 2.780 Å, I = 61, (1 2 0)
- 2θ = 33.9°, d = 2.648 Å, I = 48, (2 0 -1)
- 2θ = 34.2°, d = 2.621 Å, I = 44, (1 2 1)
- 2θ = 66.2°, d = 1.412 Å, I = 26, (1 4 3)
- 2θ = 36.5°, d = 2.465 Å, I = 25, (0 2 3)
- 2θ = 31.5°, d = 2.838 Å, I = 23, (0 2 2)
- 2θ = 50.6°, d = 1.804 Å, I = 20, (2 2 -4)
- 2θ = 60.0°, d = 1.543 Å, I = 20, (3 0 2)
- 2θ = 46.9°, d = 1.936 Å, I = 15, (2 2 1)
- 2θ = 20.6°, d = 4.308 Å, I = 15, (1 0 -2)
- 2θ = 66.8°, d = 1.401 Å, I = 13, (2 4 -1)